The following is a simulated X-ray diffraction stick pattern of Mg2Cd3Hg8. It was derived from a cell relaxed with GGA-PBE, using CuKα.
Intensities are scaled so that the largest is 100.

Principal peaks in the range 2θ from 10° to 90°, by angle:
two_theta	I/Imax	h k l
26.49	38	0 2 1
28.88	100	2 2 -1
34.37	70	2 0 2
35.65	68	3 1 -2
35.81	62	5 1 0
36.71	51	1 3 -1
37.43	39	1 3 1
39.08	24	3 3 0
39.66	31	4 2 1
60.17	25	7 3 -1

Structure:
Cell: 13.2966 8.1209 6.0668 Å, 90.00 97.54 90.00°
Space group C2/m (No. 12)
Asymmetric unit:
Mg: 0.2070 0.0000 0.2974 x4
Cd: 0.0000 0.0000 0.5000 x2
Cd: 0.0000 0.1818 0.0000 x4
Hg: 0.0950 0.5000 0.8666 x4
Hg: 0.1252 0.3099 0.4232 x8
Hg: 0.1994 0.0000 0.8216 x4